Entry 1:
For GaNiO3, a DFT-relaxed cell (GGA+U, the Materials Project) gives the theoretical powder diffractogram in this record (CuKα).
Peak positions follow from Bragg's law for the DFT cell and can differ from measured ones.

Atomic structure:
```
data_GaNiO3
_chemical_formula_sum 'Ga1 Ni1 O3'
_cell_length_a 3.671
_cell_length_b 3.671
_cell_length_c 3.671
_cell_angle_alpha 90.00
_cell_angle_beta 90.00
_cell_angle_gamma 90.00
_symmetry_space_group_name_H-M 'P m -3 m'
_symmetry_Int_Tables_number 221
_symmetry_space_group_name_Hall '-P 4 2 3'
loop_
_atom_site_label
_atom_site_type_symbol
_atom_site_fract_x
_atom_site_fract_y
_atom_site_fract_z
Ga1 Ga 0.000 0.000 0.000
Ni1 Ni 0.500 0.500 0.500
O1 O 0.000 0.500 0.500
```

Peak list (8 most intense, 2θ = 10–90°, by angle)
(1 0 0), 2θ = 24.24°, intensity 0.9
(1 1 0), 2θ = 34.55°, intensity 100.0
(1 1 1), 2θ = 42.66°, intensity 7.6
(2 0 0), 2θ = 49.67°, intensity 38.9
(2 1 1), 2θ = 61.91°, intensity 36.1
(2 2 0), 2θ = 72.87°, intensity 21.4
(3 1 0), 2θ = 83.22°, intensity 15.3
(3 1 1), 2θ = 88.28°, intensity 1.8

Entry 2:
For Sr2GaNi2O7, a DFT-relaxed cell (GGA+U, the Materials Project) gives the theoretical powder diffractogram in this record (CuKα).
Peak positions follow from Bragg's law for the DFT cell and can differ from measured ones.

Atomic structure:
```
data_Sr2GaNi2O7
_chemical_formula_sum 'Sr8 Ga4 Ni8 O28'
_cell_length_a 7.401
_cell_length_b 25.007
_cell_length_c 5.039
_cell_angle_alpha 90.00
_cell_angle_beta 132.58
_cell_angle_gamma 90.00
_symmetry_space_group_name_H-M 'C 1 m 1'
_symmetry_Int_Tables_number 8
loop_
_symmetry_equiv_pos_as_xyz
'x,y,z'
'x,-y,z'
'x+1/2,y+1/2,z'
'x+1/2,-y+1/2,z'
loop_
_atom_site_label
_atom_site_type_symbol
_atom_site_fract_x
_atom_site_fract_y
_atom_site_fract_z
Sr1 Sr 0.000 0.096 0.000
Sr2 Sr 0.028 0.404 0.030
Ga1 Ga 0.082 0.000 0.531
Ga2 Ga 0.446 0.000 0.394
Ni1 Ni 0.013 0.313 0.515
Ni2 Ni 0.017 0.183 0.518
O1 O 0.050 0.430 0.561
O2 O 0.116 0.000 0.186
O3 O 0.254 0.175 0.993
O4 O 0.260 0.172 0.510
O5 O 0.266 0.321 0.519
O6 O 0.273 0.320 0.040
O7 O 0.413 0.000 0.983
O8 O 0.477 0.431 0.489
```

Peak list (10 most intense, 2θ = 10–90°, by angle)
(0 4 1), 2θ = 27.96°, intensity 51.6
(2 4 -1), 2θ = 28.09°, intensity 53.5
(0 6 1), 2θ = 32.30°, intensity 100.0
(2 6 -1), 2θ = 32.41°, intensity 98.0
(2 0 0), 2θ = 32.87°, intensity 61.9
(2 0 -2), 2θ = 35.63°, intensity 57.3
(0 10 0), 2θ = 35.92°, intensity 57.1
(0 0 2), 2θ = 49.10°, intensity 34.8
(4 0 -2), 2θ = 49.44°, intensity 63.9
(2 16 -1), 2θ = 64.75°, intensity 43.2

Entry 3:
For Sr2YGaNi2O7, a DFT-relaxed cell (GGA+U, the Materials Project) gives the theoretical powder diffractogram in this record (CuKα).
Peak positions follow from Bragg's law for the DFT cell and can differ from measured ones.

Atomic structure:
```
data_Sr2YGaNi2O7
_chemical_formula_sum 'Sr8 Y4 Ga4 Ni8 O28'
_cell_length_a 22.426
_cell_length_b 5.629
_cell_length_c 5.531
_cell_angle_alpha 90.00
_cell_angle_beta 90.00
_cell_angle_gamma 90.00
_symmetry_space_group_name_H-M 'I m a 2'
_symmetry_Int_Tables_number 46
loop_
_symmetry_equiv_pos_as_xyz
'x,y,z'
'-x,-y,z'
'-x+1/2,y,z'
'x+1/2,-y,z'
'x+1/2,y+1/2,z+1/2'
'-x+1/2,-y+1/2,z+1/2'
'-x,y+1/2,z+1/2'
'x,-y+1/2,z+1/2'
loop_
_atom_site_label
_atom_site_type_symbol
_atom_site_fract_x
_atom_site_fract_y
_atom_site_fract_z
Sr1 Sr 0.149 0.019 0.000
Y1 Y 0.000 0.000 0.006
Ga1 Ga 0.250 0.576 0.961
Ni1 Ni 0.082 0.502 0.005
O1 O 0.064 0.250 0.255
O2 O 0.066 0.749 0.754
O3 O 0.175 0.046 0.528
O4 O 0.250 0.623 0.619
```

Peak list (10 most intense, 2θ = 10–90°, by angle)
(0 2 0), 2θ = 31.79°, intensity 29.8
(0 0 2), 2θ = 32.38°, intensity 33.2
(6 1 1), 2θ = 33.01°, intensity 100.0
(8 1 1), 2θ = 39.43°, intensity 16.8
(0 2 2), 2θ = 46.01°, intensity 36.0
(12 0 0), 2θ = 48.73°, intensity 8.0
(6 3 1), 2θ = 57.42°, intensity 16.2
(6 1 3), 2θ = 58.15°, intensity 19.6
(14 1 1), 2θ = 62.56°, intensity 11.0
(0 2 4), 2θ = 76.83°, intensity 10.5

Entry 4:
For RbVGaP2O10, a DFT-relaxed cell (GGA+U, the Materials Project) gives the theoretical powder diffractogram in this record (CuKα).
Peak positions follow from Bragg's law for the DFT cell and can differ from measured ones.

Atomic structure:
```
data_RbVGaP2O10
_chemical_formula_sum 'Rb4 V4 Ga4 P8 O40'
_cell_length_a 7.964
_cell_length_b 8.172
_cell_length_c 14.211
_cell_angle_alpha 90.00
_cell_angle_beta 105.30
_cell_angle_gamma 90.00
_symmetry_space_group_name_H-M 'P 1 21/c 1'
_symmetry_Int_Tables_number 14
loop_
_symmetry_equiv_pos_as_xyz
'x,y,z'
'-x,-y,-z'
'-x,y+1/2,-z+1/2'
'x,-y+1/2,z+1/2'
loop_
_atom_site_label
_atom_site_type_symbol
_atom_site_fract_x
_atom_site_fract_y
_atom_site_fract_z
Rb1 Rb 0.180 0.037 0.293
V1 V 0.302 0.550 0.132
Ga1 Ga 0.220 0.039 0.974
P1 P 0.004 0.221 0.541
P2 P 0.496 0.600 0.649
O1 O 0.050 0.616 0.419
O2 O 0.102 0.236 0.962
O3 O 0.119 0.129 0.629
O4 O 0.160 0.617 0.005
O5 O 0.215 0.666 0.203
O6 O 0.320 0.512 0.603
O7 O 0.362 0.026 0.893
O8 O 0.431 0.095 0.570
O9 O 0.462 0.067 0.740
O10 O 0.482 0.715 0.128
```

Peak list (10 most intense, 2θ = 10–90°, by angle)
(1 0 -2), 2θ = 14.88°, intensity 24.2
(0 2 0), 2θ = 21.75°, intensity 71.9
(0 1 3), 2θ = 22.31°, intensity 90.0
(1 2 1), 2θ = 26.31°, intensity 25.0
(1 1 3), 2θ = 27.47°, intensity 75.5
(2 1 1), 2θ = 27.94°, intensity 23.9
(2 1 -3), 2θ = 28.30°, intensity 100.0
(2 2 0), 2θ = 31.98°, intensity 54.7
(2 2 -2), 2θ = 32.14°, intensity 24.1
(1 2 -6), 2θ = 44.18°, intensity 22.7

Entry 5:
For Sr2YV2GaO7, a DFT-relaxed cell (GGA+U, the Materials Project) gives the theoretical powder diffractogram in this record (CuKα).
Peak positions follow from Bragg's law for the DFT cell and can differ from measured ones.

Atomic structure:
```
data_Sr2YV2GaO7
_chemical_formula_sum 'Sr8 Y4 V8 Ga4 O28'
_cell_length_a 23.594
_cell_length_b 5.576
_cell_length_c 5.690
_cell_angle_alpha 90.00
_cell_angle_beta 103.90
_cell_angle_gamma 90.00
_symmetry_space_group_name_H-M 'C 1 2 1'
_symmetry_Int_Tables_number 5
loop_
_symmetry_equiv_pos_as_xyz
'x,y,z'
'-x,y,-z'
'x+1/2,y+1/2,z'
'-x+1/2,y+1/2,-z'
loop_
_atom_site_label
_atom_site_type_symbol
_atom_site_fract_x
_atom_site_fract_y
_atom_site_fract_z
Sr1 Sr 0.154 0.000 0.134
Sr2 Sr 0.154 0.502 0.679
Y1 Y 0.000 0.012 0.000
Y2 Y 0.000 0.511 0.500
V1 V 0.069 0.510 0.067
V2 V 0.070 0.010 0.572
Ga1 Ga 0.250 0.471 0.318
O1 O 0.067 0.252 0.827
O2 O 0.067 0.752 0.811
O3 O 0.070 0.266 0.323
O4 O 0.070 0.766 0.311
O5 O 0.173 0.030 0.713
O6 O 0.176 0.536 0.123
O7 O 0.250 0.128 0.374
```

Peak list (10 most intense, 2θ = 10–90°, by angle)
(2 0 -2), 2θ = 31.45°, intensity 29.7
(0 2 0), 2θ = 32.11°, intensity 31.6
(7 1 -1), 2θ = 32.49°, intensity 100.0
(9 1 -1), 2θ = 38.74°, intensity 14.4
(4 0 2), 2θ = 39.51°, intensity 7.6
(2 2 -2), 2θ = 45.56°, intensity 35.4
(12 0 0), 2θ = 47.65°, intensity 9.3
(3 1 3), 2θ = 56.65°, intensity 16.4
(5 3 1), 2θ = 57.48°, intensity 19.9
(10 2 2), 2θ = 68.04°, intensity 8.7

Entry 6:
For Sr2GaW2O7, a DFT-relaxed cell (GGA+U, the Materials Project) gives the theoretical powder diffractogram in this record (CuKα).
Peak positions follow from Bragg's law for the DFT cell and can differ from measured ones.

Atomic structure:
```
data_Sr2GaW2O7
_chemical_formula_sum 'Sr4 Ga2 W4 O14'
_cell_length_a 5.562
_cell_length_b 5.713
_cell_length_c 12.073
_cell_angle_alpha 76.38
_cell_angle_beta 76.70
_cell_angle_gamma 89.98
_symmetry_space_group_name_H-M 'P 1'
_symmetry_Int_Tables_number 1
loop_
_symmetry_equiv_pos_as_xyz
'x,y,z'
loop_
_atom_site_label
_atom_site_type_symbol
_atom_site_fract_x
_atom_site_fract_y
_atom_site_fract_z
Sr1 Sr 0.000 0.000 0.000
Sr2 Sr 0.194 0.195 0.610
Sr3 Sr 0.498 0.458 0.000
Sr4 Sr 0.693 0.652 0.610
Ga1 Ga 0.136 0.652 0.805
Ga2 Ga 0.634 0.003 0.805
W1 W 0.276 0.763 0.434
W2 W 0.403 0.887 0.181
W3 W 0.779 0.262 0.430
W4 W 0.907 0.392 0.176
O1 O 0.001 0.458 0.955
O2 O 0.008 0.994 0.465
O3 O 0.017 0.495 0.444
O4 O 0.148 0.605 0.656
O5 O 0.172 0.139 0.167
O6 O 0.172 0.656 0.145
O7 O 0.477 0.704 0.805
O8 O 0.497 0.058 0.949
O9 O 0.521 0.507 0.453
O10 O 0.523 0.014 0.453
O11 O 0.644 0.200 0.659
O12 O 0.657 0.659 0.156
O13 O 0.668 0.148 0.156
O14 O 0.976 0.946 0.805
```

Peak list (10 most intense, 2θ = 10–90°, by angle)
(1 1 1), 2θ = 22.31°, intensity 50.0
(1 1 2), 2θ = 23.65°, intensity 65.9
(1 -1 2), 2θ = 27.30°, intensity 25.1
(0 2 1), 2θ = 31.33°, intensity 55.6
(2 0 1), 2θ = 32.19°, intensity 43.0
(-1 1 3), 2θ = 32.56°, intensity 100.0
(1 1 5), 2θ = 38.85°, intensity 43.0
(2 -2 0), 2θ = 45.53°, intensity 49.7
(2 0 6), 2θ = 51.84°, intensity 25.8
(2 -2 5), 2θ = 61.85°, intensity 27.7

Entry 7:
For VGaO3, a DFT-relaxed cell (GGA+U, the Materials Project) gives the theoretical powder diffractogram in this record (CuKα).
Peak positions follow from Bragg's law for the DFT cell and can differ from measured ones.

Atomic structure:
```
data_VGaO3
_chemical_formula_sum 'V4 Ga4 O12'
_cell_length_a 5.136
_cell_length_b 7.876
_cell_length_c 5.139
_cell_angle_alpha 90.00
_cell_angle_beta 90.00
_cell_angle_gamma 90.00
_symmetry_space_group_name_H-M 'P n m a'
_symmetry_Int_Tables_number 62
loop_
_symmetry_equiv_pos_as_xyz
'x,y,z'
'-x,-y,-z'
'-x+1/2,-y,z+1/2'
'x+1/2,y,-z+1/2'
'x+1/2,-y+1/2,-z+1/2'
'-x+1/2,y+1/2,z+1/2'
'-x,y+1/2,-z'
'x,-y+1/2,z'
loop_
_atom_site_label
_atom_site_type_symbol
_atom_site_fract_x
_atom_site_fract_y
_atom_site_fract_z
V1 V 0.000 0.000 0.000
Ga1 Ga 0.012 0.250 0.484
O1 O 0.123 0.750 0.872
O2 O 0.169 0.575 0.343
```

Peak list (10 most intense, 2θ = 10–90°, by angle)
(1 2 1), 2θ = 33.56°, intensity 100.0
(0 0 2), 2θ = 34.93°, intensity 42.8
(0 3 1), 2θ = 38.51°, intensity 5.9
(0 4 0), 2θ = 46.10°, intensity 13.9
(2 0 2), 2θ = 50.23°, intensity 20.6
(2 4 0), 2θ = 59.12°, intensity 24.0
(3 2 1), 2θ = 61.77°, intensity 48.2
(2 4 2), 2θ = 70.54°, intensity 12.3
(1 6 1), 2θ = 77.29°, intensity 9.9
(2 0 4), 2θ = 84.30°, intensity 8.0

Entry 8:
For VGa2O5, a DFT-relaxed cell (GGA+U, the Materials Project) gives the theoretical powder diffractogram in this record (CuKα).
Peak positions follow from Bragg's law for the DFT cell and can differ from measured ones.

Atomic structure:
```
data_VGa2O5
_chemical_formula_sum 'V2 Ga4 O10'
_cell_length_a 5.051
_cell_length_b 5.621
_cell_length_c 6.989
_cell_angle_alpha 71.74
_cell_angle_beta 89.97
_cell_angle_gamma 63.31
_symmetry_space_group_name_H-M 'P 1'
_symmetry_Int_Tables_number 1
loop_
_symmetry_equiv_pos_as_xyz
'x,y,z'
loop_
_atom_site_label
_atom_site_type_symbol
_atom_site_fract_x
_atom_site_fract_y
_atom_site_fract_z
V1 V 0.000 0.000 0.000
V2 V 0.000 0.001 0.500
Ga1 Ga 0.361 0.272 0.772
Ga2 Ga 0.367 0.273 0.272
Ga3 Ga 0.634 0.727 0.728
Ga4 Ga 0.639 0.728 0.228
O1 O 0.032 0.637 0.145
O2 O 0.202 0.000 0.249
O3 O 0.245 0.178 0.545
O4 O 0.330 0.638 0.647
O5 O 0.423 0.824 0.954
O6 O 0.578 0.177 0.046
O7 O 0.670 0.363 0.353
O8 O 0.754 0.823 0.454
O9 O 0.798 0.001 0.750
O10 O 0.968 0.362 0.853
```

Peak list (10 most intense, 2θ = 10–90°, by angle)
(1 1 0), 2θ = 19.95°, intensity 29.5
(0 1 2), 2θ = 27.22°, intensity 74.9
(1 0 -2), 2θ = 31.12°, intensity 64.0
(1 2 0), 2θ = 33.64°, intensity 100.0
(2 1 0), 2θ = 35.55°, intensity 40.9
(1 0 2), 2θ = 36.66°, intensity 75.1
(2 0 -2), 2θ = 45.34°, intensity 34.9
(2 3 2), 2θ = 53.42°, intensity 42.8
(-1 1 4), 2θ = 56.57°, intensity 43.7
(3 1 2), 2θ = 64.58°, intensity 34.8